[1]
Diffraction record for AgBrO4. The powder diffractogram is calculated, not measured: it uses the PBE geometry in the Materials Project and λ = 1.5418 Å (Cu Kα).

The 10 most intense peaks (2θ = 10–90°), in order of falling intensity:
- 2θ 28.0, d 3.187, intensity 100
- 2θ 28.7, d 3.114, intensity 97
- 2θ 25.6, d 3.480, intensity 89
- 2θ 30.6, d 2.918, intensity 74
- 2θ 29.8, d 3.003, intensity 63
- 2θ 26.2, d 3.406, intensity 62
- 2θ 31.0, d 2.884, intensity 48
- 2θ 43.5, d 2.080, intensity 33
- 2θ 48.5, d 1.877, intensity 31
- 2θ 24.0, d 3.704, intensity 30

Atomic structure:
Lattice parameters (Å, degrees): 5.8444 8.6699 9.2083 90.00 126.44 90.00
Sites, in units of the cell vectors:
Ag (0.0855, 0.0334, 0.3352)
Ag (0.0855, 0.4666, 0.8352)
Ag (0.9145, 0.5334, 0.1648)
Ag (0.9145, 0.9666, 0.6648)
Br (0.4042, 0.6862, 0.6597)
Br (0.4042, 0.8138, 0.1597)
Br (0.5958, 0.1862, 0.8403)
Br (0.5958, 0.3138, 0.3403)
O (0.2113, 0.6506, 0.0946)
O (0.2113, 0.8494, 0.5946)
O (0.2441, 0.5552, 0.4976)
O (0.2441, 0.9448, 0.9976)
O (0.2724, 0.2238, 0.7828)
O (0.2724, 0.2762, 0.2828)
O (0.4363, 0.6218, 0.8430)
O (0.4363, 0.8782, 0.3430)
O (0.5637, 0.1218, 0.6570)
O (0.5637, 0.3782, 0.1570)
O (0.7276, 0.7238, 0.7172)
O (0.7276, 0.7762, 0.2172)
O (0.7559, 0.0552, 0.0024)
O (0.7559, 0.4448, 0.5024)
O (0.7887, 0.1506, 0.4054)
O (0.7887, 0.3494, 0.9054)

***

[2]
Diffraction record for AgBrO4. The powder diffractogram is calculated, not measured: it uses the PBE geometry in the Materials Project and λ = 1.5418 Å (Cu Kα).

The 10 most intense peaks (2θ = 10–90°), in order of falling intensity:
- 2θ 28.6, d 3.122, intensity 100
- 2θ 30.4, d 2.941, intensity 54
- 2θ 30.2, d 2.964, intensity 44
- 2θ 25.9, d 3.443, intensity 38
- 2θ 24.1, d 3.697, intensity 26
- 2θ 44.6, d 2.034, intensity 24
- 2θ 58.7, d 1.573, intensity 24
- 2θ 41.1, d 2.198, intensity 24
- 2θ 26.3, d 3.388, intensity 20
- 2θ 21.9, d 4.058, intensity 19

Atomic structure:
Lattice parameters (Å, degrees): 8.4608 5.9278 7.3944 90.00 90.00 90.00
Sites, in units of the cell vectors:
Ag (0.1903, 0.2500, 0.1685)
Ag (0.3097, 0.7500, 0.6685)
Ag (0.6903, 0.2500, 0.3315)
Ag (0.8097, 0.7500, 0.8315)
Br (0.0256, 0.2500, 0.6727)
Br (0.4744, 0.7500, 0.1727)
Br (0.5256, 0.2500, 0.8273)
Br (0.9744, 0.7500, 0.3273)
O (0.0539, 0.0120, 0.7972)
O (0.0539, 0.4880, 0.7972)
O (0.1499, 0.2500, 0.4995)
O (0.1617, 0.7500, 0.3956)
O (0.3383, 0.2500, 0.8956)
O (0.3501, 0.7500, 0.9995)
O (0.4461, 0.5120, 0.2972)
O (0.4461, 0.9880, 0.2972)
O (0.5539, 0.0120, 0.7028)
O (0.5539, 0.4880, 0.7028)
O (0.6499, 0.2500, 0.0005)
O (0.6617, 0.7500, 0.1044)
O (0.8383, 0.2500, 0.6044)
O (0.8501, 0.7500, 0.5005)
O (0.9461, 0.5120, 0.2028)
O (0.9461, 0.9880, 0.2028)

***

[3]
Diffraction record for AgPb2Br5. The powder diffractogram is calculated, not measured: it uses the PBE geometry in the Materials Project and λ = 1.5418 Å (Cu Kα).

The 10 most intense peaks (2θ = 10–90°), in order of falling intensity:
- 2θ 22.2, d 4.012, intensity 100
- 2θ 32.4, d 2.762, intensity 66
- 2θ 35.6, d 2.522, intensity 45
- 2θ 42.1, d 2.146, intensity 43
- 2θ 33.4, d 2.680, intensity 42
- 2θ 17.7, d 5.008, intensity 39
- 2θ 37.2, d 2.415, intensity 37
- 2θ 32.0, d 2.796, intensity 32
- 2θ 23.8, d 3.744, intensity 31
- 2θ 43.0, d 2.102, intensity 30

Atomic structure:
Lattice parameters (Å, degrees): 9.1666 9.1666 8.0920 95.42 95.42 46.14
Sites, in units of the cell vectors:
Ag (0.0000, 0.5000, 0.0000)
Ag (0.5000, 0.0000, 0.5000)
Pb (0.1288, 0.6638, 0.4363)
Pb (0.3362, 0.8712, 0.0637)
Pb (0.6638, 0.1288, 0.9363)
Pb (0.8712, 0.3362, 0.5637)
Br (0.0740, 0.9260, 0.7500)
Br (0.1358, 0.3057, 0.3197)
Br (0.2960, 0.5286, 0.0794)
Br (0.3057, 0.1358, 0.8197)
Br (0.4714, 0.7040, 0.4206)
Br (0.5286, 0.2960, 0.5794)
Br (0.6943, 0.8642, 0.1803)
Br (0.7040, 0.4714, 0.9206)
Br (0.8642, 0.6943, 0.6803)
Br (0.9260, 0.0740, 0.2500)

***

[4]
Diffraction record for Rb2AgBr3. The powder diffractogram is calculated, not measured: it uses the PBE geometry in the Materials Project and λ = 1.5418 Å (Cu Kα).

The 10 most intense peaks (2θ = 10–90°), in order of falling intensity:
- 2θ 28.0, d 3.186, intensity 100
- 2θ 26.5, d 3.358, intensity 100
- 2θ 27.8, d 3.213, intensity 94
- 2θ 38.1, d 2.362, intensity 86
- 2θ 31.4, d 2.850, intensity 73
- 2θ 28.7, d 3.108, intensity 59
- 2θ 24.9, d 3.573, intensity 58
- 2θ 12.9, d 6.872, intensity 53
- 2θ 33.6, d 2.671, intensity 52
- 2θ 26.1, d 3.410, intensity 47

Atomic structure:
Lattice parameters (Å, degrees): 9.8566 4.7245 19.1694 90.00 90.00 90.00
Sites, in units of the cell vectors:
Rb (0.0780, 0.2500, 0.2128)
Rb (0.2457, 0.2500, 0.9583)
Rb (0.2543, 0.7500, 0.4583)
Rb (0.4220, 0.7500, 0.7128)
Rb (0.5780, 0.2500, 0.2872)
Rb (0.7457, 0.2500, 0.5417)
Rb (0.7543, 0.7500, 0.0417)
Rb (0.9220, 0.7500, 0.7872)
Ag (0.1279, 0.2500, 0.6342)
Ag (0.3721, 0.7500, 0.1342)
Ag (0.6279, 0.2500, 0.8658)
Ag (0.8721, 0.7500, 0.3658)
Br (0.0010, 0.2500, 0.4000)
Br (0.1229, 0.7500, 0.0723)
Br (0.1852, 0.2500, 0.7740)
Br (0.3148, 0.7500, 0.2740)
Br (0.3771, 0.2500, 0.5723)
Br (0.4990, 0.7500, 0.9000)
Br (0.5010, 0.2500, 0.1000)
Br (0.6229, 0.7500, 0.4277)
Br (0.6852, 0.2500, 0.7260)
Br (0.8148, 0.7500, 0.2260)
Br (0.8771, 0.2500, 0.9277)
Br (0.9990, 0.7500, 0.6000)

***

[5]
Diffraction record for Rb2AgSbBr6. The powder diffractogram is calculated, not measured: it uses the PBE geometry in the Materials Project and λ = 1.5418 Å (Cu Kα).

The 10 most intense peaks (2θ = 10–90°), in order of falling intensity:
- 2θ 31.6, d 2.828, intensity 100
- 2θ 45.4, d 1.999, intensity 72
- 2θ 27.3, d 3.265, intensity 46
- 2θ 22.2, d 3.999, intensity 35
- 2θ 15.7, d 5.655, intensity 35
- 2θ 75.1, d 1.265, intensity 32
- 2θ 56.4, d 1.633, intensity 25
- 2θ 83.8, d 1.154, intensity 24
- 2θ 53.8, d 1.705, intensity 20
- 2θ 35.5, d 2.529, intensity 18

Atomic structure:
Lattice parameters (Å, degrees): 7.9978 7.9978 7.9978 60.00 60.00 60.00
Sites, in units of the cell vectors:
Rb (0.2500, 0.2500, 0.2500)
Rb (0.7500, 0.7500, 0.7500)
Ag (0.0000, 0.0000, 0.0000)
Sb (0.5000, 0.5000, 0.5000)
Br (0.2509, 0.2509, 0.7491)
Br (0.2509, 0.7491, 0.2509)
Br (0.2509, 0.7491, 0.7491)
Br (0.7491, 0.2509, 0.2509)
Br (0.7491, 0.2509, 0.7491)
Br (0.7491, 0.7491, 0.2509)

***

[6]
Diffraction record for Rb2TaAgBr6. The powder diffractogram is calculated, not measured: it uses the PBE geometry in the Materials Project and λ = 1.5418 Å (Cu Kα).

The 10 most intense peaks (2θ = 10–90°), in order of falling intensity:
- 2θ 32.6, d 2.750, intensity 100
- 2θ 46.7, d 1.945, intensity 71
- 2θ 16.1, d 5.501, intensity 49
- 2θ 22.9, d 3.890, intensity 49
- 2θ 28.1, d 3.176, intensity 30
- 2θ 77.6, d 1.230, intensity 30
- 2θ 36.5, d 2.460, intensity 25
- 2θ 58.1, d 1.588, intensity 24
- 2θ 86.7, d 1.123, intensity 23
- 2θ 40.2, d 2.246, intensity 22

Atomic structure:
Lattice parameters (Å, degrees): 7.7794 7.7794 7.7794 60.00 60.00 60.00
Sites, in units of the cell vectors:
Rb (0.2500, 0.2500, 0.2500)
Rb (0.7500, 0.7500, 0.7500)
Ta (0.0000, 0.0000, 0.0000)
Ag (0.5000, 0.5000, 0.5000)
Br (0.2400, 0.2400, 0.7600)
Br (0.2400, 0.7600, 0.2400)
Br (0.2400, 0.7600, 0.7600)
Br (0.7600, 0.2400, 0.2400)
Br (0.7600, 0.2400, 0.7600)
Br (0.7600, 0.7600, 0.2400)

***

[7]
Diffraction record for Ag9Te4Br3. The powder diffractogram is calculated, not measured: it uses the PBE geometry in the Materials Project and λ = 1.5418 Å (Cu Kα).

The 10 most intense peaks (2θ = 10–90°), in order of falling intensity:
- 2θ 40.0, d 2.257, intensity 100
- 2θ 39.3, d 2.294, intensity 93
- 2θ 41.9, d 2.156, intensity 91
- 2θ 29.9, d 2.991, intensity 85
- 2θ 25.9, d 3.438, intensity 80
- 2θ 40.8, d 2.210, intensity 71
- 2θ 27.9, d 3.195, intensity 65
- 2θ 33.7, d 2.663, intensity 64
- 2θ 40.3, d 2.237, intensity 60
- 2θ 43.2, d 2.094, intensity 60

Atomic structure:
Lattice parameters (Å, degrees): 7.5761 7.5923 8.3732 89.41 89.99 65.16
Sites, in units of the cell vectors:
Ag (0.0000, 0.0000, 0.0000)
Ag (0.0110, 0.3163, 0.7941)
Ag (0.0323, 0.9664, 0.6430)
Ag (0.1707, 0.4170, 0.2659)
Ag (0.3815, 0.6179, 0.0181)
Ag (0.3962, 0.6272, 0.6675)
Ag (0.6309, 0.8458, 0.5783)
Ag (0.7195, 0.3148, 0.5096)
Ag (0.8474, 0.8045, 0.2830)
Te (0.0053, 0.6256, 0.9960)
Te (0.0406, 0.5960, 0.5681)
Te (0.3720, 0.9677, 0.8359)
Te (0.6546, 0.2735, 0.8323)
Br (0.0332, 0.1108, 0.3094)
Br (0.5173, 0.1322, 0.3357)
Br (0.5334, 0.6287, 0.3128)

***

[8]
Diffraction record for TlAgBr3. The powder diffractogram is calculated, not measured: it uses the PBE geometry in the Materials Project and λ = 1.5418 Å (Cu Kα).

The 10 most intense peaks (2θ = 10–90°), in order of falling intensity:
- 2θ 33.1, d 2.703, intensity 100
- 2θ 23.4, d 3.806, intensity 53
- 2θ 28.5, d 3.131, intensity 50
- 2θ 23.2, d 3.840, intensity 47
- 2θ 47.3, d 1.920, intensity 30
- 2θ 40.8, d 2.210, intensity 29
- 2θ 47.8, d 1.903, intensity 28
- 2θ 40.7, d 2.217, intensity 22
- 2θ 64.2, d 1.450, intensity 21
- 2θ 28.9, d 3.094, intensity 17

Atomic structure:
Lattice parameters (Å, degrees): 7.6130 7.6130 7.6130 60.58 60.58 60.58
Sites, in units of the cell vectors:
Tl (0.0000, 0.0000, 0.0000)
Tl (0.5000, 0.5000, 0.5000)
Ag (0.2285, 0.2285, 0.2285)
Ag (0.7285, 0.7285, 0.7285)
Br (0.0338, 0.9228, 0.4738)
Br (0.4228, 0.5338, 0.9738)
Br (0.4738, 0.0338, 0.9228)
Br (0.5338, 0.9738, 0.4228)
Br (0.9228, 0.4738, 0.0338)
Br (0.9738, 0.4228, 0.5338)

***

[9]
Diffraction record for TlAgBr3. The powder diffractogram is calculated, not measured: it uses the PBE geometry in the Materials Project and λ = 1.5418 Å (Cu Kα).

The 10 most intense peaks (2θ = 10–90°), in order of falling intensity:
- 2θ 33.1, d 2.704, intensity 100
- 2θ 23.3, d 3.824, intensity 82
- 2θ 28.6, d 3.122, intensity 70
- 2θ 47.5, d 1.913, intensity 48
- 2θ 40.9, d 2.208, intensity 29
- 2θ 47.6, d 1.910, intensity 24
- 2θ 56.4, d 1.631, intensity 23
- 2θ 59.2, d 1.560, intensity 18
- 2θ 53.6, d 1.710, intensity 18
- 2θ 88.6, d 1.103, intensity 16

Atomic structure:
Lattice parameters (Å, degrees): 5.4086 5.4086 5.4065 90.11 90.11 89.90
Sites, in units of the cell vectors:
Tl (0.0000, 0.0000, 0.0000)
Ag (0.4991, 0.4991, 0.4837)
Br (0.4914, 0.4914, 0.9835)
Br (0.5031, 0.9978, 0.4808)
Br (0.9978, 0.5031, 0.4808)